Entry 1:
# Na2CoP2H2O6
Computed powder XRD pattern, a wavelength of 1.5418 Å. Input: a structure optimized by DFT (PBE+U).
No peak broadening, texture or thermal motion is included.

Crystal structure
Unit cell a=11.905 b=5.408 c=9.001 alpha=90.00 beta=90.00 gamma=90.00
Element x y z (fractional)
Na 0.094 0.250 0.223
Na 0.218 0.250 0.828
Na 0.282 0.750 0.328
Na 0.406 0.750 0.723
Na 0.594 0.250 0.277
Na 0.718 0.250 0.672
Na 0.782 0.750 0.172
Na 0.906 0.750 0.777
Co 0.162 0.750 0.637
Co 0.338 0.250 0.137
Co 0.662 0.750 0.863
Co 0.838 0.250 0.363
P 0.017 0.250 0.629
P 0.181 0.750 0.002
P 0.319 0.250 0.502
P 0.483 0.750 0.129
P 0.517 0.250 0.871
P 0.681 0.750 0.498
P 0.819 0.250 0.998
P 0.983 0.750 0.371
H 0.063 0.750 0.988
H 0.083 0.250 0.499
H 0.417 0.750 0.999
H 0.437 0.250 0.488
H 0.563 0.750 0.512
H 0.583 0.250 0.001
H 0.917 0.750 0.501
H 0.937 0.250 0.012
O 0.049 0.018 0.717
O 0.049 0.482 0.717
O 0.106 0.750 0.422
O 0.209 0.513 0.088
O 0.209 0.987 0.088
O 0.233 0.750 0.846
O 0.267 0.250 0.346
O 0.291 0.013 0.588
O 0.291 0.487 0.588
O 0.394 0.250 0.922
O 0.451 0.518 0.217
O 0.451 0.982 0.217
O 0.549 0.018 0.783
O 0.549 0.482 0.783
O 0.606 0.750 0.078
O 0.709 0.513 0.412
O 0.709 0.987 0.412
O 0.733 0.750 0.654
O 0.767 0.250 0.154
O 0.791 0.013 0.912
O 0.791 0.487 0.912
O 0.894 0.250 0.578
O 0.951 0.518 0.283
O 0.951 0.982 0.283

Peak list (10 most intense, 15 to 90 degrees two-theta, in order of rising 2θ)
- 17.86 deg, rel. 31, hkl 2 0 1
- 21.10 deg, rel. 34, hkl 1 0 2
- 22.21 deg, rel. 44, hkl 2 1 0
- 29.87 deg, rel. 31, hkl 2 1 2
- 30.73 deg, rel. 21, hkl 1 0 3
- 33.13 deg, rel. 43, hkl 0 2 0
- 34.39 deg, rel. 100, hkl 4 1 0
- 35.02 deg, rel. 50, hkl 1 1 3
- 35.85 deg, rel. 26, hkl 4 1 1
- 46.46 deg, rel. 51, hkl 4 2 1

---

Entry 2:
# Na6CoH4S4O18
Computed powder XRD pattern, a wavelength of 1.5418 Å. Input: a structure optimized by DFT (PBE+U).
No peak broadening, texture or thermal motion is included.

Crystal structure
Unit cell a=5.972 b=6.726 c=9.985 alpha=109.41 beta=92.84 gamma=104.98
Element x y z (fractional)
Na 0.044 0.456 0.170
Na 0.391 0.200 0.962
Na 0.439 0.814 0.605
Na 0.561 0.186 0.395
Na 0.609 0.800 0.038
Na 0.956 0.544 0.830
Co 0.000 0.000 0.500
H 0.013 0.251 0.364
H 0.083 0.395 0.535
H 0.917 0.605 0.465
H 0.987 0.749 0.636
S 0.124 0.941 0.174
S 0.447 0.405 0.701
S 0.553 0.595 0.299
S 0.876 0.059 0.826
O 0.016 0.280 0.924
O 0.016 0.901 0.817
O 0.035 0.730 0.540
O 0.177 0.931 0.321
O 0.265 0.522 0.698
O 0.336 0.161 0.626
O 0.352 0.015 0.127
O 0.361 0.518 0.374
O 0.458 0.551 0.149
O 0.542 0.449 0.851
O 0.639 0.482 0.626
O 0.648 0.985 0.873
O 0.664 0.839 0.374
O 0.735 0.478 0.302
O 0.823 0.069 0.679
O 0.965 0.270 0.460
O 0.984 0.099 0.183
O 0.984 0.720 0.076

Peak list (10 most intense, 15 to 90 degrees two-theta, in order of rising 2θ)
- 17.97 deg, rel. 100, hkl 1 -1 0
- 22.79 deg, rel. 53, hkl 1 0 -2
- 27.85 deg, rel. 65, hkl 1 -2 1
- 28.80 deg, rel. 48, hkl 0 2 -2
- 28.87 deg, rel. 62, hkl 1 1 1
- 29.44 deg, rel. 39, hkl 0 2 0
- 30.67 deg, rel. 83, hkl 1 0 -3
- 31.37 deg, rel. 73, hkl 2 0 0
- 33.12 deg, rel. 48, hkl -1 2 1
- 34.90 deg, rel. 50, hkl 1 0 3

---

Entry 3:
# Na2CoH4Se2O10
Computed powder XRD pattern, a wavelength of 1.5418 Å. Input: a structure optimized by DFT (PBE+U).
No peak broadening, texture or thermal motion is included.

Crystal structure
Unit cell a=5.949 b=6.189 c=6.677 alpha=101.32 beta=96.16 gamma=115.51
Element x y z (fractional)
Na 0.107 0.311 0.273
Na 0.893 0.689 0.727
Co 0.500 0.000 0.500
H 0.176 0.818 0.122
H 0.408 0.809 0.027
H 0.592 0.191 0.973
H 0.824 0.182 0.878
Se 0.294 0.383 0.782
Se 0.706 0.617 0.218
O 0.042 0.876 0.326
O 0.148 0.780 0.480
O 0.225 0.764 0.992
O 0.318 0.259 0.986
O 0.463 0.306 0.616
O 0.537 0.694 0.384
O 0.682 0.741 0.014
O 0.775 0.236 0.008
O 0.852 0.220 0.520
O 0.958 0.124 0.674

Peak list (10 most intense, 15 to 90 degrees two-theta, in order of rising 2θ)
- 17.31 deg, rel. 24, hkl 1 -1 0
- 18.47 deg, rel. 100, hkl 0 1 -1
- 22.73 deg, rel. 24, hkl -1 1 1
- 24.18 deg, rel. 25, hkl 1 0 1
- 28.17 deg, rel. 29, hkl 1 1 -1
- 28.37 deg, rel. 28, hkl 0 1 -2
- 29.47 deg, rel. 81, hkl 1 -2 0
- 32.12 deg, rel. 20, hkl -2 1 1
- 32.33 deg, rel. 45, hkl 1 -1 2
- 39.91 deg, rel. 35, hkl 2 0 1

---

Entry 4:
# NaCo2HSe2O7
Computed powder XRD pattern, a wavelength of 1.5418 Å. Input: a structure optimized by DFT (PBE+U).
No peak broadening, texture or thermal motion is included.

Crystal structure
Unit cell a=13.163 b=5.958 c=8.299 alpha=90.00 beta=90.00 gamma=90.00
Element x y z (fractional)
Na 0.247 0.250 0.125
Na 0.253 0.750 0.625
Na 0.747 0.250 0.375
Na 0.753 0.750 0.875
Co 0.000 0.000 0.000
Co 0.000 0.500 0.000
Co 0.115 0.750 0.285
Co 0.385 0.250 0.785
Co 0.500 0.000 0.500
Co 0.500 0.500 0.500
Co 0.615 0.750 0.215
Co 0.885 0.250 0.715
H 0.166 0.750 0.965
H 0.334 0.250 0.465
H 0.666 0.750 0.535
H 0.834 0.250 0.035
Se 0.024 0.250 0.382
Se 0.169 0.250 0.773
Se 0.331 0.750 0.273
Se 0.476 0.750 0.882
Se 0.524 0.250 0.118
Se 0.669 0.250 0.727
Se 0.831 0.750 0.227
Se 0.976 0.750 0.618
O 0.009 0.022 0.252
O 0.009 0.478 0.252
O 0.094 0.750 0.528
O 0.107 0.250 0.961
O 0.107 0.750 0.036
O 0.245 0.534 0.307
O 0.245 0.966 0.307
O 0.255 0.034 0.807
O 0.255 0.466 0.807
O 0.393 0.250 0.536
O 0.393 0.750 0.461
O 0.406 0.250 0.028
O 0.491 0.522 0.752
O 0.491 0.978 0.752
O 0.509 0.022 0.248
O 0.509 0.478 0.248
O 0.594 0.750 0.972
O 0.607 0.250 0.539
O 0.607 0.750 0.464
O 0.745 0.534 0.193
O 0.745 0.966 0.193
O 0.755 0.034 0.693
O 0.755 0.466 0.693
O 0.893 0.250 0.964
O 0.893 0.750 0.039
O 0.906 0.250 0.472
O 0.991 0.522 0.748
O 0.991 0.978 0.748

Peak list (10 most intense, 15 to 90 degrees two-theta, in order of rising 2θ)
- 18.33 deg, rel. 49, hkl 0 1 1
- 22.81 deg, rel. 64, hkl 2 1 1
- 25.37 deg, rel. 44, hkl 2 0 2
- 27.06 deg, rel. 60, hkl 1 1 2
- 30.00 deg, rel. 37, hkl 0 2 0
- 32.66 deg, rel. 49, hkl 1 2 1
- 32.92 deg, rel. 100, hkl 4 1 1
- 35.79 deg, rel. 56, hkl 0 1 3
- 38.07 deg, rel. 61, hkl 3 2 1
- 61.30 deg, rel. 44, hkl 4 2 4

---

Entry 5:
# Co2H2O3
Computed powder XRD pattern, a wavelength of 1.5418 Å. Input: a structure optimized by DFT (PBE+U).
No peak broadening, texture or thermal motion is included.

Crystal structure
Unit cell a=3.093 b=3.409 c=7.127 alpha=89.20 beta=81.78 gamma=66.72
Element x y z (fractional)
Co 0.000 0.000 0.000
Co 0.457 0.901 0.382
H 0.475 0.312 0.758
H 0.597 0.791 0.135
O 0.359 0.360 0.900
O 0.781 0.309 0.388
O 0.831 0.053 0.570

Peak list (10 most intense, 15 to 90 degrees two-theta, in order of rising 2θ)
- 25.28 deg, rel. 100, hkl 0 0 2
- 28.53 deg, rel. 66, hkl 0 1 0
- 32.50 deg, rel. 30, hkl 1 0 1
- 36.15 deg, rel. 30, hkl 1 0 -1
- 37.01 deg, rel. 39, hkl 1 1 -1
- 37.55 deg, rel. 20, hkl 0 1 -2
- 37.86 deg, rel. 28, hkl 1 0 2
- 38.32 deg, rel. 25, hkl 0 0 3
- 40.05 deg, rel. 30, hkl 1 1 2
- 60.11 deg, rel. 22, hkl 1 2 2

---

Entry 6:
# CoP4H10O16
Computed powder XRD pattern, a wavelength of 1.5418 Å. Input: a structure optimized by DFT (PBE+U).
No peak broadening, texture or thermal motion is included.

Crystal structure
Unit cell a=5.153 b=7.069 c=7.846 alpha=100.51 beta=97.60 gamma=92.55
Element x y z (fractional)
Co 0.000 0.000 0.000
P 0.043 0.323 0.746
P 0.426 0.822 0.766
P 0.574 0.178 0.234
P 0.957 0.677 0.254
H 0.008 0.640 0.760
H 0.230 0.126 0.573
H 0.347 0.314 0.965
H 0.363 0.911 0.267
H 0.398 0.433 0.357
H 0.602 0.567 0.643
H 0.637 0.089 0.733
H 0.653 0.686 0.035
H 0.770 0.874 0.427
H 0.992 0.360 0.240
O 0.102 0.227 0.559
O 0.108 0.498 0.280
O 0.120 0.819 0.178
O 0.147 0.811 0.812
O 0.304 0.395 0.870
O 0.358 0.167 0.079
O 0.441 0.639 0.622
O 0.460 0.005 0.681
O 0.540 0.995 0.319
O 0.559 0.361 0.378
O 0.642 0.833 0.921
O 0.696 0.605 0.130
O 0.853 0.189 0.188
O 0.880 0.181 0.822
O 0.892 0.502 0.720
O 0.898 0.773 0.441

Peak list (10 most intense, 15 to 90 degrees two-theta, in order of rising 2θ)
- 15.54 deg, rel. 40, hkl 0 1 -1
- 22.32 deg, rel. 35, hkl 1 0 1
- 23.30 deg, rel. 38, hkl 0 0 2
- 23.94 deg, rel. 94, hkl -1 1 1
- 26.13 deg, rel. 34, hkl 0 2 -1
- 27.49 deg, rel. 64, hkl 1 1 1
- 28.63 deg, rel. 30, hkl 1 1 -2
- 31.43 deg, rel. 100, hkl -1 1 2
- 31.54 deg, rel. 41, hkl 1 -1 2
- 31.65 deg, rel. 33, hkl 1 2 -1

---

Entry 7:
# ZnCoPHO5
Computed powder XRD pattern, a wavelength of 1.5418 Å. Input: a structure optimized by DFT (PBE+U).
No peak broadening, texture or thermal motion is included.

Crystal structure
Unit cell a=5.197 b=5.530 c=7.265 alpha=95.27 beta=99.81 gamma=92.38
Element x y z (fractional)
Zn 0.123 0.210 0.135
Zn 0.877 0.790 0.865
Co 0.500 0.000 0.500
Co 0.500 0.500 0.500
P 0.052 0.294 0.719
P 0.948 0.706 0.281
H 0.388 0.736 0.784
H 0.612 0.264 0.216
O 0.106 0.097 0.862
O 0.130 0.548 0.830
O 0.215 0.248 0.563
O 0.244 0.725 0.360
O 0.465 0.224 0.281
O 0.535 0.776 0.719
O 0.756 0.275 0.640
O 0.785 0.752 0.437
O 0.870 0.452 0.170
O 0.894 0.903 0.138

Peak list (10 most intense, 15 to 90 degrees two-theta, in order of rising 2θ)
- 19.52 deg, rel. 100, hkl 1 0 -1
- 23.10 deg, rel. 54, hkl 1 0 1
- 28.46 deg, rel. 32, hkl 0 1 -2
- 31.62 deg, rel. 18, hkl 1 1 -2
- 33.08 deg, rel. 25, hkl 1 0 2
- 36.19 deg, rel. 17, hkl 0 2 1
- 37.91 deg, rel. 28, hkl 0 0 3
- 38.06 deg, rel. 27, hkl 1 2 0
- 38.34 deg, rel. 19, hkl 1 -2 1
- 43.53 deg, rel. 20, hkl -1 1 3

---

Entry 8:
# CoRe2H8O12
Computed powder XRD pattern, a wavelength of 1.5418 Å. Input: a structure optimized by DFT (PBE+U).
No peak broadening, texture or thermal motion is included.

Crystal structure
Unit cell a=6.356 b=6.524 c=6.975 alpha=66.02 beta=72.15 gamma=72.91
Element x y z (fractional)
Co 0.000 0.000 0.000
Re 0.419 0.683 0.704
Re 0.581 0.317 0.296
H 0.110 0.555 0.271
H 0.123 0.310 0.638
H 0.221 0.971 0.280
H 0.254 0.199 0.070
H 0.746 0.801 0.930
H 0.779 0.029 0.720
H 0.877 0.690 0.362
H 0.890 0.445 0.729
O 0.016 0.318 0.773
O 0.152 0.090 0.162
O 0.290 0.320 0.394
O 0.297 0.732 0.493
O 0.308 0.909 0.805
O 0.375 0.423 0.906
O 0.625 0.577 0.094
O 0.692 0.091 0.195
O 0.703 0.268 0.507
O 0.710 0.680 0.606
O 0.848 0.910 0.838
O 0.984 0.682 0.227

Peak list (10 most intense, 15 to 90 degrees two-theta, in order of rising 2θ)
- 16.81 deg, rel. 44, hkl 0 1 1
- 18.08 deg, rel. 41, hkl 1 1 1
- 18.31 deg, rel. 92, hkl 1 0 1
- 19.12 deg, rel. 100, hkl 1 1 0
- 24.24 deg, rel. 90, hkl 0 1 -1
- 26.31 deg, rel. 89, hkl -1 1 1
- 27.38 deg, rel. 39, hkl 0 1 2
- 28.66 deg, rel. 41, hkl 0 0 2
- 28.86 deg, rel. 47, hkl 0 2 1
- 33.41 deg, rel. 40, hkl 2 1 2